[1]
For Sm4YS7, a DFT-relaxed cell (GGA-PBE, Alexandria) gives the simulated powder X-ray diffraction pattern in this record (copper Kα).
Intensities are scaled so that the largest is 1000.

Principal peaks in the range 5 to 70 degrees two-theta, sorted by position:
23.52 deg, 3.782 Å, rel. 897, (2 0 2); 24.00 deg, 3.708 Å, rel. 1000, (2 0 -3); 27.17 deg, 3.282 Å, rel. 365, (4 0 -1); 30.87 deg, 2.897 Å, rel. 422, (3 1 -1); 32.46 deg, 2.759 Å, rel. 541, (3 1 -2); 33.58 deg, 2.669 Å, rel. 458, (3 1 1); 41.36 deg, 2.183 Å, rel. 341, (1 1 4); 46.42 deg, 1.956 Å, rel. 389, (6 0 -4)

Cell and atoms:
```
data_Sm4YS7
_space_group_name_H-M_alt 'C 1 m 1'
_space_group_IT_number 8
_space_group_name_Hall 'C -2y'
_cell_length_a 13.131
_cell_length_b 3.890
_cell_length_c 11.788
_cell_angle_alpha 90.00
_cell_angle_beta 104.92
_cell_angle_gamma 90.00
loop_
_atom_site_label
_atom_site_fract_x
_atom_site_fract_y
_atom_site_fract_z
_atom_site_occupancy
Sm1 0.000 0.000 0.000 1
Sm2 0.088 0.500 0.387 1
Sm3 0.189 0.000 0.768 1
Sm4 0.388 0.500 0.576 1
Y1 0.276 0.500 0.155 1
S1 0.048 0.500 0.628 1
S2 0.130 0.500 0.932 1
S3 0.152 0.000 0.224 1
S4 0.228 0.000 0.526 1
S5 0.347 0.500 0.792 1
S6 0.386 0.000 0.079 1
S7 0.429 0.500 0.358 1
```

***

[2]
For SmY2S2, a DFT-relaxed cell (GGA-PBE, Alexandria) gives the simulated powder X-ray diffraction pattern in this record (copper Kα).
Intensities are scaled so that the largest is 1000.

Principal peaks in the range 5 to 70 degrees two-theta, sorted by position:
9.23 deg, 9.578 Å, rel. 205, (0 0 3); 26.72 deg, 3.336 Å, rel. 184, (1 0 1); 27.95 deg, 3.193 Å, rel. 206, (0 0 9); 29.35 deg, 3.043 Å, rel. 367, (1 0 4); 30.83 deg, 2.900 Å, rel. 1000, (0 1 5); 41.35 deg, 2.184 Å, rel. 281, (1 0 10); 46.85 deg, 1.939 Å, rel. 347, (1 1 0); 55.43 deg, 1.658 Å, rel. 187, (1 1 9)

Cell and atoms:
```
data_SmY2S2
_space_group_name_H-M_alt 'R -3 m'
_space_group_IT_number 166
_space_group_name_Hall '-R 3 2"'
_cell_length_a 3.8786
_cell_length_b 3.8786
_cell_length_c 28.7347
_cell_angle_alpha 90.00
_cell_angle_beta 90.00
_cell_angle_gamma 120.00
loop_
_atom_site_label
_atom_site_fract_x
_atom_site_fract_y
_atom_site_fract_z
_atom_site_occupancy
Sm1 0.0000 0.0000 0.0000 1
Y1 0.0000 0.0000 0.2170 1
S1 0.0000 0.0000 0.3930 1
```

***

[3]
For Sm3YS6, a DFT-relaxed cell (GGA-PBE, Alexandria) gives the simulated powder X-ray diffraction pattern in this record (copper Kα).
Intensities are scaled so that the largest is 1000.

Principal peaks in the range 5 to 70 degrees two-theta, sorted by position:
17.33 deg, 5.116 Å, rel. 422, (0 1 2); 23.95 deg, 3.716 Å, rel. 1000, (1 0 4); 25.26 deg, 3.526 Å, rel. 937, (1 1 0); 35.08 deg, 2.558 Å, rel. 506, (0 2 4); 38.52 deg, 2.337 Å, rel. 794, (1 1 6); 43.72 deg, 2.071 Å, rel. 500, (2 1 4); 44.50 deg, 2.036 Å, rel. 517, (3 0 0); 51.00 deg, 1.791 Å, rel. 256, (1 0 10)

Cell and atoms:
```
data_Sm3YS6
_space_group_name_H-M_alt 'R 3'
_space_group_IT_number 146
_space_group_name_Hall 'R 3'
_cell_length_a 7.0528
_cell_length_b 7.0528
_cell_length_c 18.7261
_cell_angle_alpha 90.00
_cell_angle_beta 90.00
_cell_angle_gamma 120.00
loop_
_atom_site_label
_atom_site_fract_x
_atom_site_fract_y
_atom_site_fract_z
_atom_site_occupancy
Sm1 0.0000 0.0000 0.0000 1
Sm2 0.0000 0.0000 0.2045 1
Sm3 0.0000 0.0000 0.7064 1
Y1 0.0000 0.0000 0.5026 1
S1 0.0017 0.7055 0.6017 1
S2 0.0098 0.3056 0.1022 1
```

***

[4]
For Sm2Y6S3, a DFT-relaxed cell (GGA-PBE, Alexandria) gives the simulated powder X-ray diffraction pattern in this record (copper Kα).
Intensities are scaled so that the largest is 1000.

Principal peaks in the range 5 to 70 degrees two-theta, sorted by position:
29.04 deg, 3.074 Å, rel. 1000, (0 0 24); 30.48 deg, 2.933 Å, rel. 763, (0 1 11); 32.28 deg, 2.773 Å, rel. 348, (0 1 14); 33.66 deg, 2.663 Å, rel. 487, (1 0 16); 35.96 deg, 2.497 Å, rel. 296, (1 0 19); 48.34 deg, 1.883 Å, rel. 591, (1 1 0); 51.63 deg, 1.770 Å, rel. 239, (0 1 35); 57.39 deg, 1.606 Å, rel. 429, (1 1 24)

Cell and atoms:
```
data_Sm2Y6S3
_space_group_name_H-M_alt 'R -3 m'
_space_group_IT_number 166
_space_group_name_Hall '-R 3 2"'
_cell_length_a 3.7657
_cell_length_b 3.7657
_cell_length_c 73.7796
_cell_angle_alpha 90.00
_cell_angle_beta 90.00
_cell_angle_gamma 120.00
loop_
_atom_site_label
_atom_site_fract_x
_atom_site_fract_y
_atom_site_fract_z
_atom_site_occupancy
Sm1 0.0000 0.0000 0.0583 1
Y1 0.0000 0.0000 0.1433 1
Y2 0.0000 0.0000 0.3141 1
Y3 0.0000 0.0000 0.4319 1
S1 0.0000 0.0000 0.2121 1
S2 0.0000 0.0000 0.5000 1
```

***

[5]
For SmY3S4, a DFT-relaxed cell (GGA-PBE, Alexandria) gives the simulated powder X-ray diffraction pattern in this record (copper Kα).
Intensities are scaled so that the largest is 1000.

Principal peaks in the range 5 to 70 degrees two-theta, sorted by position:
27.57 deg, 3.236 Å, rel. 263, (2 2 0); 27.87 deg, 3.201 Å, rel. 255, (0 2 1); 32.12 deg, 2.787 Å, rel. 1000, (2 0 1); 45.68 deg, 1.986 Å, rel. 120, (4 0 0); 46.05 deg, 1.971 Å, rel. 468, (2 4 1); 46.46 deg, 1.954 Å, rel. 114, (0 0 2); 56.92 deg, 1.618 Å, rel. 122, (4 4 0); 57.59 deg, 1.601 Å, rel. 118, (0 4 2)

Cell and atoms:
```
data_SmY3S4
_space_group_name_H-M_alt 'C m m m'
_space_group_IT_number 65
_space_group_name_Hall '-C 2 2'
_cell_length_a 7.944
_cell_length_b 11.155
_cell_length_c 3.909
_cell_angle_alpha 90.00
_cell_angle_beta 90.00
_cell_angle_gamma 90.00
loop_
_atom_site_label
_atom_site_fract_x
_atom_site_fract_y
_atom_site_fract_z
_atom_site_occupancy
Sm1 0.000 0.000 0.000 1
Y1 0.000 0.500 0.000 1
Y2 0.250 0.250 0.500 1
S1 0.000 0.253 0.000 1
S2 0.244 0.500 0.500 1
```

***

[6]
For SmYS3, a DFT-relaxed cell (GGA-PBE, Alexandria) gives the simulated powder X-ray diffraction pattern in this record (copper Kα).
Intensities are scaled so that the largest is 1000.

Principal peaks in the range 5 to 70 degrees two-theta, sorted by position:
11.32 deg, 7.815 Å, rel. 383, (0 0 1); 22.81 deg, 3.899 Å, rel. 550, (2 0 0); 24.70 deg, 3.605 Å, rel. 617, (1 0 -2); 25.33 deg, 3.517 Å, rel. 790, (1 1 0); 32.26 deg, 2.775 Å, rel. 1000, (0 1 2); 38.80 deg, 2.321 Å, rel. 364, (2 1 -2); 40.92 deg, 2.205 Å, rel. 462, (2 1 2); 42.53 deg, 2.126 Å, rel. 372, (3 1 -1)

Cell and atoms:
```
data_SmYS3
_space_group_name_H-M_alt 'P 1 21/m 1'
_space_group_IT_number 11
_space_group_name_Hall '-P 2yb'
_cell_length_a 7.820
_cell_length_b 3.940
_cell_length_c 7.841
_cell_angle_alpha 90.00
_cell_angle_beta 94.37
_cell_angle_gamma 90.00
loop_
_atom_site_label
_atom_site_fract_x
_atom_site_fract_y
_atom_site_fract_z
_atom_site_occupancy
Sm1 0.231 0.250 0.380 1
Y1 0.320 0.250 0.854 1
S1 0.020 0.250 0.679 1
S2 0.320 0.750 0.101 1
S3 0.387 0.750 0.624 1
```

***

[7]
For YbSm2S4, a DFT-relaxed cell (GGA-PBE, Alexandria) gives the simulated powder X-ray diffraction pattern in this record (copper Kα).
Intensities are scaled so that the largest is 1000.

Principal peaks in the range 5 to 70 degrees two-theta, sorted by position:
25.77 deg, 3.458 Å, rel. 1000, (1 1 2); 33.46 deg, 2.678 Å, rel. 868, (3 0 1); 39.83 deg, 2.264 Å, rel. 523, (3 1 2); 48.01 deg, 1.895 Å, rel. 250, (2 0 4); 48.10 deg, 1.892 Å, rel. 129, (4 2 0); 50.55 deg, 1.806 Å, rel. 245, (3 2 3); 55.34 deg, 1.660 Å, rel. 210, (4 3 1); 68.32 deg, 1.373 Å, rel. 225, (6 1 1)

Cell and atoms:
```
data_YbSm2S4
_space_group_name_H-M_alt 'I -4 2 d'
_space_group_IT_number 122
_space_group_name_Hall 'I -4 2bw'
_cell_length_a 8.460
_cell_length_b 8.460
_cell_length_c 8.488
_cell_angle_alpha 90.00
_cell_angle_beta 90.00
_cell_angle_gamma 90.00
loop_
_atom_site_label
_atom_site_fract_x
_atom_site_fract_y
_atom_site_fract_z
_atom_site_occupancy
Yb1 0.000 0.000 0.000 1
Sm1 0.128 0.250 0.625 1
S1 0.073 0.179 0.304 1
```

***

[8]
For Yb3Sm3S8, a DFT-relaxed cell (GGA-PBE, Alexandria) gives the simulated powder X-ray diffraction pattern in this record (copper Kα).
Intensities are scaled so that the largest is 1000.

Principal peaks in the range 5 to 70 degrees two-theta, sorted by position:
25.82 deg, 3.451 Å, rel. 1000, (1 1 1); 33.48 deg, 2.677 Å, rel. 575, (1 3 0); 33.62 deg, 2.666 Å, rel. 277, (2 0 -3); 39.86 deg, 2.261 Å, rel. 291, (3 3 -1); 39.96 deg, 2.256 Å, rel. 218, (5 1 -3); 48.06 deg, 1.893 Å, rel. 191, (2 0 2); 50.64 deg, 1.803 Å, rel. 207, (5 3 -2); 68.37 deg, 1.372 Å, rel. 112, (2 6 -1)

Cell and atoms:
```
data_Yb3Sm3S8
_space_group_name_H-M_alt 'C 1 2 1'
_space_group_IT_number 5
_space_group_name_Hall 'C 2y'
_cell_length_a 11.946
_cell_length_b 8.456
_cell_length_c 8.427
_cell_angle_alpha 90.00
_cell_angle_beta 134.80
_cell_angle_gamma 90.00
loop_
_atom_site_label
_atom_site_fract_x
_atom_site_fract_y
_atom_site_fract_z
_atom_site_occupancy
Yb1 0.000 0.000 0.000 1
Yb2 0.126 0.629 0.376 1
Sm1 0.000 0.254 0.500 1
Sm2 0.249 0.876 0.873 1
S1 0.070 0.949 0.392 1
S2 0.072 0.310 0.251 1
S3 0.180 0.553 0.750 1
S4 0.180 0.697 0.109 1
```